[1]
Er4Ga2Sn: calculated powder X-ray diffraction pattern (copper Kα), based on the PBE geometry in Alexandria.
No peak broadening, texture or thermal motion is included.

Cell lengths 9.307, 8.049, 7.994 Å; angles 70.93, 54.81, 54.26 degrees
Positions (direct):
Er 0.121 0.308 0.312
Er 0.241 0.688 0.692
Er 0.308 0.121 0.759
Er 0.312 0.759 0.121
Er 0.688 0.241 0.879
Er 0.692 0.879 0.241
Er 0.759 0.312 0.308
Er 0.879 0.692 0.688
Ga 0.000 0.000 0.000
Ga 0.000 0.000 0.500
Ga 0.000 0.500 0.000
Ga 0.500 0.000 0.000
Sn 0.375 0.375 0.375
Sn 0.625 0.625 0.625

Top 6 peaks for 2θ from 10° to 90°, by angle:
| 2θ/deg | d [Å] | I/Imax |
| --- | --- | --- |
| 19.1 | 4.653 | 34 |
| 27.3 | 3.270 | 59 |
| 30.4 | 2.939 | 71 |
| 30.8 | 2.904 | 100 |
| 36.0 | 2.496 | 36 |
| 36.3 | 2.473 | 49 |

[2]
ErGaSn3: calculated powder X-ray diffraction pattern (copper Kα), based on the PBE geometry in Alexandria.
No peak broadening, texture or thermal motion is included.

Cell lengths 12.522, 6.246, 6.367 Å; angles 90.00, 90.00, 90.00 degrees
Positions (direct):
Er 0.196 0.019 0.250
Er 0.196 0.481 0.750
Er 0.804 0.519 0.250
Er 0.804 0.981 0.750
Ga 0.378 0.250 0.000
Ga 0.378 0.250 0.500
Ga 0.622 0.750 0.000
Ga 0.622 0.750 0.500
Sn 0.001 0.750 0.000
Sn 0.001 0.750 0.500
Sn 0.232 0.524 0.250
Sn 0.232 0.976 0.750
Sn 0.434 0.652 0.750
Sn 0.434 0.848 0.250
Sn 0.566 0.152 0.750
Sn 0.566 0.348 0.250
Sn 0.768 0.024 0.250
Sn 0.768 0.476 0.750
Sn 0.999 0.250 0.000
Sn 0.999 0.250 0.500

Top 6 peaks for 2θ from 10° to 90°, by angle:
| 2θ/deg | d [Å] | I/Imax |
| --- | --- | --- |
| 31.5 | 2.838 | 54 |
| 32.0 | 2.795 | 94 |
| 35.0 | 2.561 | 52 |
| 35.5 | 2.531 | 72 |
| 35.9 | 2.502 | 100 |
| 40.5 | 2.230 | 64 |

[3]
Er2Ga3Sn3: calculated powder X-ray diffraction pattern (copper Kα), based on the PBE geometry in Alexandria.
No peak broadening, texture or thermal motion is included.

Cell lengths 4.315, 4.408, 9.502 Å; angles 90.00, 90.00, 90.00 degrees
Positions (direct):
Er 0.000 0.000 0.242
Er 0.000 0.000 0.758
Ga 0.500 0.000 0.000
Ga 0.500 0.500 0.233
Ga 0.500 0.500 0.767
Sn 0.000 0.500 0.000
Sn 0.000 0.500 0.500
Sn 0.500 0.000 0.500

Top 6 peaks for 2θ from 10° to 90°, by angle:
| 2θ/deg | d [Å] | I/Imax |
| --- | --- | --- |
| 34.7 | 2.586 | 100 |
| 37.9 | 2.375 | 19 |
| 40.9 | 2.204 | 16 |
| 41.9 | 2.157 | 15 |
| 57.0 | 1.616 | 13 |
| 66.4 | 1.409 | 14 |